No. 1
For MoW2Se2S4, a cell relaxed with PBE gives the simulated powder XRD pattern in this record (Cu Kα).
No peak broadening, texture or thermal motion is included.

The 10 most intense peaks (10 to 90 degrees two-theta), in order of rising 2θ:
d (Å)  2θ/deg  I/Imax
7.418  11.93  1000
5.935  14.93  246
2.802  31.94  183
2.753  32.52  123
2.621  34.21  128
2.438  36.87  345
2.337  38.52  370
2.037  44.47  160
1.943  46.75  286
1.617  56.96  235

Structure:
Lattice parameters (Å, degrees): 3.2350 3.2350 29.6736 90.00 90.00 120.00
Space group P3m1 (No. 156)
Inequivalent atoms, fractional coordinates:
Mo: 0.0000 0.0000 0.0000 x1
W: 0.0000 0.0000 0.4627 x1
W: 0.3333 0.6667 0.2313 x1
Se: 0.3333 0.6667 0.4049 x1
Se: 0.3333 0.6667 0.5205 x1
S: 0.0000 0.0000 0.1789 x1
S: 0.0000 0.0000 0.2838 x1
S: 0.3333 0.6667 0.0522 x1
S: 0.3333 0.6667 0.9478 x1


No. 2
For CsCNO, a cell relaxed with PBE gives the simulated powder XRD pattern in this record (Cu Kα).
No peak broadening, texture or thermal motion is included.

The 10 most intense peaks (10 to 90 degrees two-theta), in order of rising 2θ:
d (Å)  2θ/deg  I/Imax
4.721  18.80  603
4.046  21.97  144
3.338  26.71  499
3.072  29.07  1000
2.575  34.84  364
2.360  38.13  191
2.111  42.83  253
2.039  44.44  181
1.872  48.65  299
1.461  63.71  154

Structure:
Lattice parameters (Å, degrees): 8.092 6.667 6.685 90.00 90.00 90.00
Space group Ima2 (No. 46)
Inequivalent atoms, fractional coordinates:
Cs: 0.000 0.000 0.000 x4
C: 0.250 0.002 0.502 x4
N: 0.250 0.128 0.630 x4
O: 0.250 0.630 0.872 x4


No. 3
For Sr3Sc2N4, a cell relaxed with PBE gives the simulated powder XRD pattern in this record (Cu Kα).
No peak broadening, texture or thermal motion is included.

The 10 most intense peaks (10 to 90 degrees two-theta), in order of rising 2θ:
d (Å)  2θ/deg  I/Imax
3.086  28.93  1000
3.069  29.10  100
2.880  31.05  233
2.644  33.91  122
2.395  37.56  152
2.281  39.50  129
2.194  41.14  164
2.170  41.61  147
2.016  44.96  125
1.603  57.50  107

Structure:
Lattice parameters (Å, degrees): 11.157 9.577 6.190 90.00 93.05 90.00
Space group C2/c (No. 15)
Inequivalent atoms, fractional coordinates:
Sr: 0.000 0.096 0.250 x4
Sr: 0.113 0.341 0.568 x8
Sc: 0.217 0.113 0.912 x8
N: 0.115 0.294 0.006 x8
N: 0.174 0.073 0.579 x8